Diffraction record for Na3Hg8Sb2. The powder diffraction line list is theoretical, not measured: it uses a cell relaxed with PBE and copper Kα.
Kinematic intensities with the Lorentz-polarization factor, no thermal factor.

Crystal structure
```
13
Lattice="3.0075 1.7364 13.6159 -3.0075 1.7364 13.6159 0.0000 -3.4728 13.6159" Properties=species:S:1:pos:R:3 pbc="T T T"
Na 0.0000 0.0000 0.0000
Na 0.0000 0.0000 8.4615
Na 0.0000 0.0000 32.3860
Hg 0.0000 -1.7478 16.3047
Hg -1.5137 0.8739 16.3047
Hg -1.5137 -0.8739 24.5429
Hg 0.0000 0.0000 13.1845
Hg 0.0000 0.0000 27.6631
Hg 1.5137 0.8739 16.3047
Hg 1.5137 -0.8739 24.5429
Hg 0.0000 1.7478 24.5429
Sb 0.0000 0.0000 19.0279
Sb 0.0000 0.0000 21.8196
```

Principal peaks in the range 10° ≤ 2θ ≤ 80°, in order of rising 2θ:
2θ (°), Rel. int.
13.0, 52.0
24.4, 69.3
32.5, 97.5
32.9, 77.0
34.7, 100.0
35.6, 90.0
35.8, 81.4
36.2, 57.4